Diffraction record for Rb2InAsI6. The XRD peak list is theoretical, not measured: it uses a structure optimized by DFT (GGA-PBE) and Cu Kα, 1.54184 Å.

Main lines, sorted by position (5° ≤ 2θ ≤ 70°):
h k l	2θ (°)	Rel. int.
2 0 0	14.6	33
2 2 2	25.4	83
4 0 0	29.4	100
4 2 0	32.9	17
4 4 0	42.0	73
6 2 2	49.7	36
4 4 4	52.1	25
8 4 0	69.0	31

Cell and atoms:
```
data_Rb2InAsI6
_chemical_formula_sum 'Rb8 In4 As4 I24'
_space_group_name_H-M_alt 'F m -3 m'
_space_group_IT_number 225
_space_group_name_Hall '-F 4 2 3'
_cell_length_a 12.1670
_cell_length_b 12.1670
_cell_length_c 12.1670
_cell_angle_alpha 90.00
_cell_angle_beta 90.00
_cell_angle_gamma 90.00
loop_
_atom_site_label
_atom_site_type_symbol
_atom_site_fract_x
_atom_site_fract_y
_atom_site_fract_z
_atom_site_occupancy
Rb1 Rb 0.2500 0.2500 0.2500 1
In1 In 0.0000 0.0000 0.0000 1
As1 As 0.0000 0.0000 0.5000 1
I1 I 0.0000 0.0000 0.2613 1
```

=====

Diffraction record for K3AsI6. The XRD peak list is theoretical, not measured: it uses a structure optimized by DFT (GGA-PBE) and Cu Kα, 1.54184 Å.

Main lines, sorted by position (5° ≤ 2θ ≤ 70°):
h k l	2θ (°)	Rel. int.
2 0 0	14.2	49
2 2 2	24.8	100
4 0 0	28.7	92
4 2 0	32.2	22
4 4 0	41.0	64
6 2 2	48.5	40
4 4 4	50.9	21
8 4 0	67.3	23

Cell and atoms:
```
data_K3AsI6
_chemical_formula_sum 'K12 As4 I24'
_space_group_name_H-M_alt 'F m -3 m'
_space_group_IT_number 225
_space_group_name_Hall '-F 4 2 3'
_cell_length_a 12.4401
_cell_length_b 12.4401
_cell_length_c 12.4401
_cell_angle_alpha 90.00
_cell_angle_beta 90.00
_cell_angle_gamma 90.00
loop_
_atom_site_label
_atom_site_type_symbol
_atom_site_fract_x
_atom_site_fract_y
_atom_site_fract_z
_atom_site_occupancy
K1 K 0.0000 0.0000 0.0000 1
K2 K 0.2500 0.2500 0.2500 1
As1 As 0.0000 0.0000 0.5000 1
I1 I 0.0000 0.0000 0.2692 1
```

=====

Diffraction record for KRb2AsI6. The XRD peak list is theoretical, not measured: it uses a structure optimized by DFT (GGA-PBE) and Cu Kα, 1.54184 Å.

Main lines, sorted by position (5° ≤ 2θ ≤ 70°):
h k l	2θ (°)	Rel. int.
2 0 0	14.2	19
2 2 2	24.7	100
4 0 0	28.6	87
4 4 0	40.9	61
6 2 2	48.4	41
4 4 4	50.7	20
6 6 2	65.2	14
8 4 0	67.1	23

Cell and atoms:
```
data_KRb2AsI6
_chemical_formula_sum 'K4 Rb8 As4 I24'
_space_group_name_H-M_alt 'F m -3 m'
_space_group_IT_number 225
_space_group_name_Hall '-F 4 2 3'
_cell_length_a 12.4707
_cell_length_b 12.4707
_cell_length_c 12.4707
_cell_angle_alpha 90.00
_cell_angle_beta 90.00
_cell_angle_gamma 90.00
loop_
_atom_site_label
_atom_site_type_symbol
_atom_site_fract_x
_atom_site_fract_y
_atom_site_fract_z
_atom_site_occupancy
K1 K 0.0000 0.0000 0.0000 1
Rb1 Rb 0.2500 0.2500 0.2500 1
As1 As 0.0000 0.0000 0.5000 1
I1 I 0.0000 0.0000 0.2695 1
```

=====

Diffraction record for K2TlAsI6. The XRD peak list is theoretical, not measured: it uses a structure optimized by DFT (GGA-PBE) and Cu Kα, 1.54184 Å.

Main lines, sorted by position (5° ≤ 2θ ≤ 70°):
h k l	2θ (°)	Rel. int.
2 0 0	14.4	88
2 2 2	25.1	49
4 0 0	29.1	100
4 2 0	32.6	46
4 4 0	41.6	72
6 0 0	44.2	25
4 4 4	51.5	24
8 4 0	68.3	29

Cell and atoms:
```
data_K2TlAsI6
_chemical_formula_sum 'K8 Tl4 As4 I24'
_space_group_name_H-M_alt 'F m -3 m'
_space_group_IT_number 225
_space_group_name_Hall '-F 4 2 3'
_cell_length_a 12.2880
_cell_length_b 12.2880
_cell_length_c 12.2880
_cell_angle_alpha 90.00
_cell_angle_beta 90.00
_cell_angle_gamma 90.00
loop_
_atom_site_label
_atom_site_type_symbol
_atom_site_fract_x
_atom_site_fract_y
_atom_site_fract_z
_atom_site_occupancy
K1 K 0.2500 0.2500 0.2500 1
Tl1 Tl 0.0000 0.0000 0.0000 1
As1 As 0.0000 0.0000 0.5000 1
I1 I 0.0000 0.0000 0.2660 1
```

=====

Diffraction record for La2AsI2. The XRD peak list is theoretical, not measured: it uses a structure optimized by DFT (GGA-PBE) and Cu Kα, 1.54184 Å.

Main lines, sorted by position (5° ≤ 2θ ≤ 70°):
h k l	2θ (°)	Rel. int.
0 0 1	8.1	13
1 0 0	23.2	14
0 1 2	28.4	100
1 0 4	40.5	31
1 1 0	40.8	33
2 0 2	50.4	20
1 1 6	66.3	12
1 2 2	66.8	17

Cell and atoms:
```
data_La2AsI2
_chemical_formula_sum 'La2 As1 I2'
_space_group_name_H-M_alt 'P -3 m 1'
_space_group_IT_number 164
_space_group_name_Hall '-P 3 2"'
_cell_length_a 4.4261
_cell_length_b 4.4261
_cell_length_c 10.9653
_cell_angle_alpha 90.00
_cell_angle_beta 90.00
_cell_angle_gamma 120.00
loop_
_atom_site_label
_atom_site_type_symbol
_atom_site_fract_x
_atom_site_fract_y
_atom_site_fract_z
_atom_site_occupancy
La1 La 0.3333 0.6667 0.1521 1
As1 As 0.0000 0.0000 0.0000 1
I1 I 0.3333 0.6667 0.6571 1
```

=====

Diffraction record for La3AsI3. The XRD peak list is theoretical, not measured: it uses a structure optimized by DFT (GGA-PBE) and Cu Kα, 1.54184 Å.

Main lines, sorted by position (5° ≤ 2θ ≤ 70°):
h k l	2θ (°)	Rel. int.
3 2 1	26.3	23
4 0 0	28.2	100
3 3 2	33.2	14
4 4 0	40.3	71
4 4 4	49.9	24
7 2 1	53.1	12
8 0 0	58.2	11
8 4 0	65.9	27

Cell and atoms:
```
data_La3AsI3
_chemical_formula_sum 'La24 As8 I24'
_space_group_name_H-M_alt 'I 41 3 2'
_space_group_IT_number 214
_space_group_name_Hall 'I 4bd 2c 3'
_cell_length_a 12.6714
_cell_length_b 12.6714
_cell_length_c 12.6714
_cell_angle_alpha 90.00
_cell_angle_beta 90.00
_cell_angle_gamma 90.00
loop_
_atom_site_label
_atom_site_type_symbol
_atom_site_fract_x
_atom_site_fract_y
_atom_site_fract_z
_atom_site_occupancy
La1 La 0.1097 0.1403 0.6250 1
As1 As 0.1250 0.3750 0.6250 1
I1 I 0.1163 0.3663 0.1250 1
```